Diffraction record for RbTl2CrS4. The X-ray powder pattern is computed, not measured: it uses a PBE-relaxed structure and CuKα.
Kinematic intensities with the Lorentz-polarization factor, no thermal factor.

Cell and atoms:
a b c (Å): 6.4982 6.4993 7.9299
angles (deg): 114.05 113.99 90.06
Space group P1 (No. 1)
Symmetry-distinct sites (fractional):
Rb1 0.0000 0.0000 0.0000 [1 per cell]
Tl1 0.2495 0.7496 0.4997 [1 per cell]
Tl2 0.4990 0.5010 0.0002 [1 per cell]
Cr1 0.7492 0.2496 0.5003 [1 per cell]
S1 0.0547 0.5116 0.6869 [1 per cell]
S2 0.4871 0.3680 0.3127 [1 per cell]
S3 0.6301 0.1748 0.6881 [1 per cell]
S4 0.8245 0.9436 0.3134 [1 per cell]

Principal peaks in the range 2θ = 5–70°, in order of falling intensity:
2θ = 23.7°, 3.749 Å, rel. 100, hkl 1 1 -2; 2θ = 27.5°, 3.247 Å, rel. 33, hkl 0 0 2; 2θ = 39.2°, 2.298 Å, rel. 32, hkl 2 0 1; 2θ = 46.3°, 1.960 Å, rel. 26, hkl 3 1 -1; 2θ = 15.3°, 5.810 Å, rel. 21, hkl 1 0 0; 2θ = 39.3°, 2.292 Å, rel. 16, hkl 2 0 -3

***

Diffraction record for TbHo10Tm4. The X-ray powder pattern is computed, not measured: it uses a PBE-relaxed structure and CuKα.
Kinematic intensities with the Lorentz-polarization factor, no thermal factor.

Cell and atoms:
a b c (Å): 12.0074 12.0074 7.5904
angles (deg): 90.00 90.00 90.00
Space group I4/m (No. 87)
Symmetry-distinct sites (fractional):
Tb1 0.0000 0.0000 0.0000 [2 per cell]
Ho1 0.0000 0.5000 0.2500 [4 per cell]
Ho2 0.1004 0.2000 0.2514 [16 per cell]
Tm1 0.0999 0.6990 0.5000 [8 per cell]

Principal peaks in the range 2θ = 5–70°, in order of falling intensity:
2θ = 33.4°, 2.684 Å, rel. 100, hkl 3 1 2; 2θ = 59.7°, 1.550 Å, rel. 38, hkl 5 5 2; 2θ = 20.3°, 4.384 Å, rel. 26, hkl 1 2 1; 2θ = 47.9°, 1.898 Å, rel. 18, hkl 6 2 0; 2θ = 39.4°, 2.289 Å, rel. 15, hkl 5 0 1; 2θ = 23.4°, 3.796 Å, rel. 13, hkl 3 1 0

***

Diffraction record for PrEr3Hg. The X-ray powder pattern is computed, not measured: it uses a PBE-relaxed structure and CuKα.
Kinematic intensities with the Lorentz-polarization factor, no thermal factor.

Cell and atoms:
a b c (Å): 11.2779 7.3070 7.9447
angles (deg): 90.00 110.98 90.00
Space group C2/m (No. 12)
Symmetry-distinct sites (fractional):
Pr1 0.0561 0.0000 0.2336 [4 per cell]
Er1 0.0615 0.5000 0.2451 [4 per cell]
Er2 0.1606 0.2513 0.6407 [8 per cell]
Hg1 0.2339 0.5000 0.0002 [4 per cell]

Principal peaks in the range 2θ = 5–70°, in order of falling intensity:
2θ = 34.4°, 2.606 Å, rel. 100, hkl 2 2 -2; 2θ = 31.7°, 2.819 Å, rel. 41, hkl 4 0 -1; 2θ = 27.2°, 3.278 Å, rel. 33, hkl 0 2 1; 2θ = 34.2°, 2.622 Å, rel. 26, hkl 2 0 2; 2θ = 34.1°, 2.630 Å, rel. 25, hkl 2 0 -3; 2θ = 42.3°, 2.137 Å, rel. 21, hkl 4 2 0

***

Diffraction record for Dy2GeS4. The X-ray powder pattern is computed, not measured: it uses a PBE-relaxed structure and CuKα.
Kinematic intensities with the Lorentz-polarization factor, no thermal factor.

Cell and atoms:
a b c (Å): 6.1243 6.1243 11.9460
angles (deg): 90.00 90.00 90.00
Space group I-42m (No. 121)
Symmetry-distinct sites (fractional):
Dy1 0.0000 0.5000 0.2500 [4 per cell]
Ge1 0.0000 0.0000 0.0000 [2 per cell]
S1 0.2436 0.2436 0.1271 [8 per cell]

Principal peaks in the range 2θ = 5–70°, in order of falling intensity:
2θ = 25.4°, 3.506 Å, rel. 100, hkl 1 1 2; 2θ = 42.3°, 2.138 Å, rel. 40, hkl 2 0 4; 2θ = 49.5°, 1.842 Å, rel. 32, hkl 3 1 2; 2θ = 14.8°, 5.973 Å, rel. 30, hkl 0 0 2; 2θ = 20.5°, 4.331 Å, rel. 28, hkl 1 1 0; 2θ = 41.7°, 2.165 Å, rel. 21, hkl 2 2 0

***

Diffraction record for SrTl3O5. The X-ray powder pattern is computed, not measured: it uses a PBE-relaxed structure and CuKα.
Kinematic intensities with the Lorentz-polarization factor, no thermal factor.

Cell and atoms:
a b c (Å): 3.4962 11.5640 14.1182
angles (deg): 90.00 90.00 90.00
Space group Cmcm (No. 63)
Symmetry-distinct sites (fractional):
Sr1 0.0000 0.0244 0.2500 [4 per cell]
Tl1 0.0000 0.2294 0.6115 [8 per cell]
Tl2 0.0000 0.5000 0.0000 [4 per cell]
O1 0.0000 0.1451 0.0451 [8 per cell]
O2 0.0000 0.3232 0.7500 [4 per cell]
O3 0.0000 0.4112 0.1418 [8 per cell]

Principal peaks in the range 2θ = 5–70°, in order of falling intensity:
2θ = 29.7°, 3.013 Å, rel. 100, hkl 0 2 4; 2θ = 37.0°, 2.431 Å, rel. 40, hkl 1 3 2; 2θ = 32.8°, 2.727 Å, rel. 39, hkl 1 1 3; 2θ = 30.9°, 2.891 Å, rel. 37, hkl 0 4 0; 2θ = 27.4°, 3.256 Å, rel. 35, hkl 1 1 1; 2θ = 29.5°, 3.024 Å, rel. 32, hkl 1 1 2

***

Diffraction record for Nd3GePd3. The X-ray powder pattern is computed, not measured: it uses a PBE-relaxed structure and CuKα.
Kinematic intensities with the Lorentz-polarization factor, no thermal factor.

Cell and atoms:
a b c (Å): 4.0863 4.3390 18.8547
angles (deg): 90.00 90.00 90.00
Space group Imm2 (No. 44)
Symmetry-distinct sites (fractional):
Nd1 0.0000 0.0000 0.0000 [2 per cell]
Nd2 0.0000 0.0000 0.3672 [2 per cell]
Nd3 0.0000 0.5000 0.1843 [2 per cell]
Ge1 0.0000 0.5000 0.7491 [2 per cell]
Pd1 0.0000 0.0000 0.5285 [2 per cell]
Pd2 0.0000 0.0000 0.8275 [2 per cell]
Pd3 0.0000 0.5000 0.6180 [2 per cell]

Principal peaks in the range 2θ = 5–70°, in order of falling intensity:
2θ = 31.5°, 2.837 Å, rel. 100, hkl 1 1 2; 2θ = 32.3°, 2.771 Å, rel. 40, hkl 1 0 5; 2θ = 39.4°, 2.288 Å, rel. 34, hkl 0 1 7; 2θ = 35.7°, 2.516 Å, rel. 29, hkl 1 1 4; 2θ = 41.6°, 2.170 Å, rel. 29, hkl 0 2 0; 2θ = 41.8°, 2.160 Å, rel. 26, hkl 1 1 6

***

Diffraction record for PmErGeAu. The X-ray powder pattern is computed, not measured: it uses a PBE-relaxed structure and CuKα.
Kinematic intensities with the Lorentz-polarization factor, no thermal factor.

Cell and atoms:
a b c (Å): 4.3513 4.0818 11.0773
angles (deg): 90.00 90.00 90.00
Space group Amm2 (No. 38)
Symmetry-distinct sites (fractional):
Pm1 0.0000 0.0000 0.0000 [2 per cell]
Er1 0.5000 0.0000 0.7220 [2 per cell]
Ge1 0.0000 0.0000 0.2706 [2 per cell]
Au1 0.5000 0.0000 0.4392 [2 per cell]

Principal peaks in the range 2θ = 5–70°, in order of falling intensity:
2θ = 31.1°, 2.875 Å, rel. 100, hkl 1 1 1; 2θ = 38.9°, 2.318 Å, rel. 68, hkl 1 1 3; 2θ = 32.3°, 2.769 Å, rel. 29, hkl 0 0 4; 2θ = 32.7°, 2.738 Å, rel. 28, hkl 0 1 3; 2θ = 41.5°, 2.176 Å, rel. 26, hkl 2 0 0; 2θ = 38.5°, 2.336 Å, rel. 23, hkl 1 0 4

***

Diffraction record for CsHg2SbCl8. The X-ray powder pattern is computed, not measured: it uses a PBE-relaxed structure and CuKα.
Kinematic intensities with the Lorentz-polarization factor, no thermal factor.

Cell and atoms:
a b c (Å): 6.6180 6.6180 32.2965
angles (deg): 90.00 90.00 120.00
Space group R32 (No. 155, hexagonal axes)
Symmetry-distinct sites (fractional):
Cs1 0.0000 0.0000 0.0000 [3 per cell]
Hg1 0.0000 0.0000 0.2485 [6 per cell]
Sb1 0.0000 0.0000 0.5000 [3 per cell]
Cl1 0.0000 0.0000 0.3239 [6 per cell]
Cl2 0.0063 0.3701 0.2203 [18 per cell]

Principal peaks in the range 2θ = 5–70°, in order of falling intensity:
2θ = 19.0°, 4.674 Å, rel. 100, hkl 1 0 4; 2θ = 27.0°, 3.305 Å, rel. 87, hkl 1 1 0; 2θ = 43.3°, 2.090 Å, rel. 65, hkl 1 1 12; 2θ = 47.6°, 1.910 Å, rel. 38, hkl 3 0 0; 2θ = 33.2°, 2.701 Å, rel. 30, hkl 0 2 4; 2θ = 59.3°, 1.559 Å, rel. 19, hkl 1 3 4

***

Diffraction record for Tb2Y2ErSc. The X-ray powder pattern is computed, not measured: it uses a PBE-relaxed structure and CuKα.
Kinematic intensities with the Lorentz-polarization factor, no thermal factor.

Cell and atoms:
a b c (Å): 6.9540 5.5261 9.5428
angles (deg): 90.00 90.00 90.00
Space group Pmma (No. 51)
Symmetry-distinct sites (fractional):
Tb1 0.2500 0.0000 0.1498 [2 per cell]
Tb2 0.2500 0.5000 0.6838 [2 per cell]
Y1 0.0000 0.0000 0.5000 [2 per cell]
Y2 0.2500 0.5000 0.3428 [2 per cell]
Er1 0.0000 0.5000 0.0000 [2 per cell]
Sc1 0.2500 0.0000 0.8225 [2 per cell]

Principal peaks in the range 2θ = 5–70°, in order of falling intensity:
2θ = 31.8°, 2.812 Å, rel. 100, hkl 2 1 1; 2θ = 32.5°, 2.759 Å, rel. 100, hkl 0 2 0; 2θ = 46.1°, 1.969 Å, rel. 35, hkl 2 2 2; 2θ = 57.5°, 1.604 Å, rel. 24, hkl 2 3 1; 2θ = 22.6°, 3.939 Å, rel. 23, hkl 1 1 1; 2θ = 63.2°, 1.471 Å, rel. 19, hkl 4 1 3

***

Diffraction record for NdCu5Ni2. The X-ray powder pattern is computed, not measured: it uses a PBE-relaxed structure and CuKα.
Kinematic intensities with the Lorentz-polarization factor, no thermal factor.

Cell and atoms:
a b c (Å): 3.7714 7.1154 8.7451
angles (deg): 90.00 90.00 90.00
Space group Immm (No. 71)
Symmetry-distinct sites (fractional):
Nd1 0.0000 0.0000 0.0000 [2 per cell]
Cu1 0.0000 0.1770 0.3476 [8 per cell]
Cu2 0.0000 0.5000 0.0000 [2 per cell]
Ni1 0.0000 0.5000 0.2682 [4 per cell]

Principal peaks in the range 2θ = 5–70°, in order of falling intensity:
2θ = 39.1°, 2.306 Å, rel. 100, hkl 1 0 3; 2θ = 36.2°, 2.482 Å, rel. 79, hkl 1 2 1; 2θ = 48.9°, 1.863 Å, rel. 39, hkl 0 2 4; 2θ = 48.3°, 1.886 Å, rel. 37, hkl 2 0 0; 2θ = 50.0°, 1.825 Å, rel. 36, hkl 1 3 2; 2θ = 33.8°, 2.650 Å, rel. 28, hkl 1 1 2

***

Diffraction record for Pm5SmY6. The X-ray powder pattern is computed, not measured: it uses a PBE-relaxed structure and CuKα.
Kinematic intensities with the Lorentz-polarization factor, no thermal factor.

Cell and atoms:
a b c (Å): 5.1172 10.1539 15.3333
angles (deg): 90.00 90.00 90.00
Space group Immm (No. 71)
Symmetry-distinct sites (fractional):
Pm1 0.0000 0.0000 0.0000 [2 per cell]
Pm2 0.0000 0.0000 0.3335 [4 per cell]
Pm3 0.0000 0.5000 0.3334 [4 per cell]
Sm1 0.0000 0.5000 0.0000 [2 per cell]
Y1 0.0000 0.2502 0.1666 [8 per cell]
Y2 0.0000 0.2497 0.5000 [4 per cell]

Principal peaks in the range 2θ = 5–70°, in order of falling intensity:
2θ = 30.3°, 2.945 Å, rel. 100, hkl 1 2 3; 2θ = 35.1°, 2.557 Å, rel. 34, hkl 2 0 0; 2θ = 60.0°, 1.541 Å, rel. 28, hkl 3 2 3; 2θ = 50.7°, 1.802 Å, rel. 24, hkl 2 4 0; 2θ = 35.4°, 2.538 Å, rel. 17, hkl 0 4 0; 2θ = 60.4°, 1.533 Å, rel. 14, hkl 1 6 3

***

Diffraction record for Pm2PuMnN5. The X-ray powder pattern is computed, not measured: it uses a PBE-relaxed structure and CuKα.
Kinematic intensities with the Lorentz-polarization factor, no thermal factor.

Cell and atoms:
a b c (Å): 3.4359 13.7439 10.3328
angles (deg): 90.00 90.00 90.00
Space group Cmc2_1 (No. 36)
Symmetry-distinct sites (fractional):
Pm1 0.0000 0.1078 0.0000 [4 per cell]
Pm2 0.0000 0.1344 0.6103 [4 per cell]
Pu1 0.0000 0.2060 0.3157 [4 per cell]
Mn1 0.0000 0.4908 0.7735 [4 per cell]
N1 0.0000 0.0425 0.3426 [4 per cell]
N2 0.0000 0.2851 0.9536 [4 per cell]
N3 0.0000 0.3131 0.6853 [4 per cell]
N4 0.0000 0.3747 0.3143 [4 per cell]
N5 0.0000 0.4911 0.0980 [4 per cell]

Principal peaks in the range 2θ = 5–70°, in order of falling intensity:
2θ = 37.5°, 2.395 Å, rel. 100, hkl 1 1 3; 2θ = 29.0°, 3.079 Å, rel. 69, hkl 0 2 3; 2θ = 32.6°, 2.749 Å, rel. 60, hkl 1 3 0; 2θ = 31.3°, 2.861 Å, rel. 53, hkl 0 4 2; 2θ = 45.8°, 1.982 Å, rel. 48, hkl 1 5 2; 2θ = 33.7°, 2.656 Å, rel. 34, hkl 1 3 1